[1]
Na2LiMnF6: theoretical powder XRD pattern (Cu Kα, 1.54184 Å), based on a cell relaxed with GGA+U.
Peak positions follow from Bragg's law for the DFT cell and can differ from measured ones.

Top 12 peaks for 15 to 90 degrees two-theta, by angle:
(hkl)	2θ/deg	Rel. int.
1 1 1	19.55	81
2 0 0	22.61	43
2 2 0	32.20	58
3 1 1	37.95	37
2 2 2	39.70	46
4 0 0	46.17	100
3 3 1	50.59	13
4 2 0	52.00	13
4 2 2	57.40	22
5 1 1	61.25	12
4 4 0	67.36	51
4 4 4	85.56	15

Cell and atoms:
Cell: 7.8640 7.8640 7.8640 Å, 90.00 90.00 90.00°
Space group Fm-3m (No. 225)
Symmetry-distinct sites (fractional):
Na 0.2500 0.2500 0.2500 x8
Li 0.0000 0.0000 0.0000 x4
Mn 0.0000 0.0000 0.5000 x4
F 0.0000 0.0000 0.2536 x24

---

[2]
Sr2NbFeO6: theoretical powder XRD pattern (Cu Kα, 1.54184 Å), based on a cell relaxed with GGA+U.
Peak positions follow from Bragg's law for the DFT cell and can differ from measured ones.

Top 12 peaks for 15 to 90 degrees two-theta, by angle:
(hkl)	2θ/deg	Rel. int.
1 0 0	15.55	3
2 0 0	31.36	100
2 0 1	38.66	6
0 0 2	44.80	12
2 2 0	45.01	24
2 0 2	55.73	13
3 1 1	55.86	26
2 2 2	65.38	14
4 0 0	65.54	7
1 1 3	74.15	6
4 2 0	74.46	11
4 0 2	82.90	7

Cell and atoms:
Cell: 5.6972 5.6972 4.0457 Å, 90.00 90.00 90.00°
Space group P4/mmm (No. 123)
Symmetry-distinct sites (fractional):
Sr 0.0000 0.5000 0.0000 x2
Nb 0.0000 0.0000 0.5000 x1
Fe 0.5000 0.5000 0.5000 x1
O 0.0000 0.0000 0.0000 x1
O 0.2462 0.2462 0.5000 x4
O 0.5000 0.5000 0.0000 x1